Entry 1:
Theoretical XRD peak list
Compound: Ba3SrNb2O9
Radiation: Cu Kα
Structure: a GGA-PBE-relaxed structure

The 12 most intense peaks (2θ = 10–80°), sorted by position:
11.25 deg, I 13
23.81 deg, I 9
28.20 deg, I 90
29.03 deg, I 100
40.92 deg, I 49
50.95 deg, I 34
51.46 deg, I 24
55.45 deg, I 19
60.18 deg, I 17
67.77 deg, I 20
71.59 deg, I 10
75.38 deg, I 11

Cell and atoms:
```
data_Ba3SrNb2O9
_symmetry_space_group_name_H-M 'P 63/m'
_symmetry_Int_Tables_number 176
_symmetry_space_group_name_Hall '-P 6c'
_cell_length_a 6.1510
_cell_length_b 6.1510
_cell_length_c 15.7352
_cell_angle_alpha 90.00
_cell_angle_beta 90.00
_cell_angle_gamma 120.00
loop_
_atom_site_label
_atom_site_type_symbol
_atom_site_fract_x
_atom_site_fract_y
_atom_site_fract_z
Ba1 Ba 0.0000 0.0000 0.2500
Ba2 Ba 0.3333 0.6667 0.1238
Sr1 Sr 0.0000 0.0000 0.0000
Nb1 Nb 0.3333 0.6667 0.6539
O1 O 0.0415 0.4718 0.7500
O2 O 0.1127 0.7592 0.5991
```

=====

Entry 2:
Theoretical XRD peak list
Compound: SrCdBiF
Radiation: Cu Kα
Structure: a GGA-PBE-relaxed structure

The 12 most intense peaks (2θ = 10–80°), sorted by position:
21.47 deg, I 55
26.73 deg, I 76
27.60 deg, I 21
33.26 deg, I 100
33.83 deg, I 37
39.31 deg, I 25
39.43 deg, I 61
41.99 deg, I 21
48.28 deg, I 31
52.91 deg, I 21
62.61 deg, I 23
67.61 deg, I 25

Cell and atoms:
```
data_SrCdBiF
_symmetry_space_group_name_H-M 'P 4/n m m'
_symmetry_Int_Tables_number 129
_cell_length_a 4.5702
_cell_length_b 4.5702
_cell_length_c 9.7547
_cell_angle_alpha 90.00
_cell_angle_beta 90.00
_cell_angle_gamma 90.00
loop_
_symmetry_equiv_pos_as_xyz
'x,y,z'
'-x,-y,-z'
'-y+1/2,x,z'
'y+1/2,-x,-z'
'-x+1/2,-y+1/2,z'
'x+1/2,y+1/2,-z'
'y,-x+1/2,z'
'-y,x+1/2,-z'
'x+1/2,-y,-z'
'-x+1/2,y,z'
'-y,-x,-z'
'y,x,z'
'-x,y+1/2,-z'
'x,-y+1/2,z'
'y+1/2,x+1/2,-z'
'-y+1/2,-x+1/2,z'
loop_
_atom_site_label
_atom_site_type_symbol
_atom_site_fract_x
_atom_site_fract_y
_atom_site_fract_z
Sr1 Sr 0.2500 0.2500 0.1261
Cd1 Cd 0.2500 0.7500 0.5000
Bi1 Bi 0.2500 0.2500 0.7033
F1 F 0.2500 0.7500 0.0000
```

=====

Entry 3:
Theoretical XRD peak list
Compound: NdSm2Th3S6
Radiation: Cu Kα
Structure: a GGA-PBE-relaxed structure

The 12 most intense peaks (2θ = 10–80°), sorted by position:
26.72 deg, I 24
27.02 deg, I 23
27.27 deg, I 45
31.36 deg, I 100
44.42 deg, I 13
44.75 deg, I 25
45.13 deg, I 24
45.45 deg, I 12
53.37 deg, I 11
56.26 deg, I 13
65.44 deg, I 12
74.08 deg, I 11

Cell and atoms:
```
data_NdSm2Th3S6
_symmetry_space_group_name_H-M 'C 1 2/m 1'
_symmetry_Int_Tables_number 12
_cell_length_a 6.9754
_cell_length_b 11.9739
_cell_length_c 7.0515
_cell_angle_alpha 90.00
_cell_angle_beta 108.88
_cell_angle_gamma 90.00
loop_
_symmetry_equiv_pos_as_xyz
'x,y,z'
'-x,-y,-z'
'-x,y,-z'
'x,-y,z'
'x+1/2,y+1/2,z'
'-x+1/2,-y+1/2,-z'
'-x+1/2,y+1/2,-z'
'x+1/2,-y+1/2,z'
loop_
_atom_site_label
_atom_site_type_symbol
_atom_site_fract_x
_atom_site_fract_y
_atom_site_fract_z
Nd1 Nd 0.0000 0.0000 0.0000
Sm1 Sm 0.0000 0.3332 0.0000
Th1 Th 0.0000 0.1650 0.5000
Th2 Th 0.0000 0.5000 0.5000
S1 S 0.2449 0.5000 0.2447
S2 S 0.2494 0.3317 0.7530
```

=====

Entry 4:
Theoretical XRD peak list
Compound: Cs3ScS3
Radiation: Cu Kα
Structure: a GGA-PBE-relaxed structure

The 12 most intense peaks (2θ = 10–80°), sorted by position:
21.08 deg, I 35
22.23 deg, I 39
22.51 deg, I 29
22.92 deg, I 33
24.82 deg, I 41
25.15 deg, I 31
26.94 deg, I 100
27.36 deg, I 93
27.77 deg, I 50
28.11 deg, I 50
28.43 deg, I 61
32.43 deg, I 37

Cell and atoms:
```
data_Cs3ScS3
_symmetry_space_group_name_H-M 'P 1 21/c 1'
_symmetry_Int_Tables_number 14
_cell_length_a 8.5239
_cell_length_b 14.1662
_cell_length_c 11.0554
_cell_angle_alpha 90.00
_cell_angle_beta 126.99
_cell_angle_gamma 90.00
loop_
_symmetry_equiv_pos_as_xyz
'x,y,z'
'-x,-y,-z'
'-x,y+1/2,-z+1/2'
'x,-y+1/2,z+1/2'
loop_
_atom_site_label
_atom_site_type_symbol
_atom_site_fract_x
_atom_site_fract_y
_atom_site_fract_z
Cs1 Cs 0.1076 0.1353 0.4808
Cs2 Cs 0.1406 0.0828 0.8818
Cs3 Cs 0.3592 0.6836 0.5591
Sc1 Sc 0.4398 0.0582 0.3417
S1 S 0.1576 0.1623 0.1928
S2 S 0.3633 0.6028 0.8847
S3 S 0.3789 0.5459 0.2612
```

=====

Entry 5:
Theoretical XRD peak list
Compound: Y2SiO6
Radiation: Cu Kα
Structure: a GGA-PBE-relaxed structure

The 12 most intense peaks (2θ = 10–80°), sorted by position:
20.37 deg, I 10
25.86 deg, I 100
31.80 deg, I 11
33.11 deg, I 70
36.89 deg, I 16
41.43 deg, I 13
50.41 deg, I 66
53.17 deg, I 18
60.05 deg, I 12
63.24 deg, I 16
64.08 deg, I 22
76.31 deg, I 12

Cell and atoms:
```
data_Y2SiO6
_symmetry_space_group_name_H-M 'P 42/m n m'
_symmetry_Int_Tables_number 136
_symmetry_space_group_name_Hall '-P 4n 2n'
_cell_length_a 4.8719
_cell_length_b 4.8719
_cell_length_c 9.7587
_cell_angle_alpha 90.00
_cell_angle_beta 90.00
_cell_angle_gamma 90.00
loop_
_atom_site_label
_atom_site_type_symbol
_atom_site_fract_x
_atom_site_fract_y
_atom_site_fract_z
Y1 Y 0.0000 0.0000 0.1702
Si1 Si 0.0000 0.0000 0.5000
O1 O 0.1789 0.1789 0.3651
O2 O 0.2420 0.2420 0.0000
```

=====

Entry 6:
Theoretical XRD peak list
Compound: Pa3MnCo8
Radiation: Cu Kα
Structure: a GGA-PBE-relaxed structure

The 12 most intense peaks (2θ = 10–80°), sorted by position:
22.23 deg, I 27
28.00 deg, I 11
36.53 deg, I 46
36.73 deg, I 50
43.09 deg, I 35
43.30 deg, I 100
45.36 deg, I 14
66.02 deg, I 17
70.54 deg, I 16
70.67 deg, I 15
77.62 deg, I 12
78.13 deg, I 15

Cell and atoms:
```
data_Pa3MnCo8
_symmetry_space_group_name_H-M 'R 3 m'
_symmetry_Int_Tables_number 160
_symmetry_space_group_name_Hall 'R 3 -2"'
_cell_length_a 4.8934
_cell_length_b 4.8934
_cell_length_c 24.1697
_cell_angle_alpha 90.00
_cell_angle_beta 90.00
_cell_angle_gamma 120.00
loop_
_atom_site_label
_atom_site_type_symbol
_atom_site_fract_x
_atom_site_fract_y
_atom_site_fract_z
Pa1 Pa 0.0000 0.0000 0.0000
Pa2 Pa 0.0000 0.0000 0.1284
Pa3 Pa 0.0000 0.0000 0.5134
Mn1 Mn 0.0000 0.0000 0.6361
Co1 Co 0.0000 0.0000 0.3178
Co2 Co 0.0000 0.0000 0.8182
Co3 Co 0.1675 0.3350 0.9031
Co4 Co 0.1677 0.3355 0.4000
```

=====

Entry 7:
Theoretical XRD peak list
Compound: NaCd4Hg7
Radiation: Cu Kα
Structure: a GGA-PBE-relaxed structure

The 12 most intense peaks (2θ = 10–80°), sorted by position:
21.96 deg, I 13
29.21 deg, I 78
32.77 deg, I 59
32.82 deg, I 58
32.98 deg, I 57
44.48 deg, I 100
44.63 deg, I 50
58.78 deg, I 22
66.63 deg, I 15
66.97 deg, I 29
70.61 deg, I 25
70.72 deg, I 13

Cell and atoms:
```
data_NaCd4Hg7
_symmetry_space_group_name_H-M 'C 1 2/m 1'
_symmetry_Int_Tables_number 12
_cell_length_a 12.5583
_cell_length_b 6.1145
_cell_length_c 9.4323
_cell_angle_alpha 90.00
_cell_angle_beta 119.62
_cell_angle_gamma 90.00
loop_
_symmetry_equiv_pos_as_xyz
'x,y,z'
'-x,-y,-z'
'-x,y,-z'
'x,-y,z'
'x+1/2,y+1/2,z'
'-x+1/2,-y+1/2,-z'
'-x+1/2,y+1/2,-z'
'x+1/2,-y+1/2,z'
loop_
_atom_site_label
_atom_site_type_symbol
_atom_site_fract_x
_atom_site_fract_y
_atom_site_fract_z
Na1 Na 0.0000 0.0000 0.0000
Cd1 Cd 0.0031 0.5000 0.3351
Cd2 Cd 0.2490 0.5000 0.3312
Hg1 Hg 0.0000 0.5000 0.0000
Hg2 Hg 0.0008 0.0000 0.3339
Hg3 Hg 0.2460 0.5000 0.6636
Hg4 Hg 0.2503 0.0000 0.9990
```

=====

Entry 8:
Theoretical XRD peak list
Compound: TcSn2PtBr
Radiation: Cu Kα
Structure: a GGA-PBE-relaxed structure

The 12 most intense peaks (2θ = 10–80°), sorted by position:
17.03 deg, I 58
24.18 deg, I 46
29.73 deg, I 29
34.46 deg, I 100
38.68 deg, I 32
42.55 deg, I 21
49.53 deg, I 72
52.76 deg, I 17
55.84 deg, I 9
58.84 deg, I 12
61.73 deg, I 25
67.30 deg, I 10

Cell and atoms:
```
data_TcSn2PtBr
_symmetry_space_group_name_H-M 'P 4/m m m'
_symmetry_Int_Tables_number 123
_symmetry_space_group_name_Hall '-P 4 2'
_cell_length_a 5.2028
_cell_length_b 5.2028
_cell_length_c 5.2108
_cell_angle_alpha 90.00
_cell_angle_beta 90.00
_cell_angle_gamma 90.00
loop_
_atom_site_label
_atom_site_type_symbol
_atom_site_fract_x
_atom_site_fract_y
_atom_site_fract_z
Tc1 Tc 0.0000 0.0000 0.0000
Sn1 Sn 0.0000 0.5000 0.5000
Pt1 Pt 0.5000 0.5000 0.5000
Br1 Br 0.5000 0.5000 0.0000
```

=====

Entry 9:
Theoretical XRD peak list
Compound: LaY2Ho7
Radiation: Cu Kα
Structure: a GGA-PBE-relaxed structure

The 12 most intense peaks (2θ = 10–80°), sorted by position:
11.67 deg, I 1
16.14 deg, I 1
17.99 deg, I 1
30.79 deg, I 100
35.70 deg, I 51
51.38 deg, I 36
61.06 deg, I 18
61.13 deg, I 25
64.11 deg, I 9
64.19 deg, I 3
75.58 deg, I 4
75.69 deg, I 2

Cell and atoms:
```
data_LaY2Ho7
_symmetry_space_group_name_H-M 'P -1'
_symmetry_Int_Tables_number 2
_cell_length_a 6.1574
_cell_length_b 7.1179
_cell_length_c 7.9513
_cell_angle_alpha 77.10
_cell_angle_beta 75.00
_cell_angle_gamma 73.31
loop_
_symmetry_equiv_pos_as_xyz
'x,y,z'
'-x,-y,-z'
loop_
_atom_site_label
_atom_site_type_symbol
_atom_site_fract_x
_atom_site_fract_y
_atom_site_fract_z
La1 La 0.0000 0.0000 0.0000
Y1 Y 0.2015 0.3009 0.5986
Ho1 Ho 0.0000 0.5000 0.0000
Ho2 Ho 0.2008 0.7992 0.5994
Ho3 Ho 0.3987 0.1009 0.2007
Ho4 Ho 0.4018 0.5983 0.2007
```

=====

Entry 10:
Theoretical XRD peak list
Compound: Ag2AsI5
Radiation: Cu Kα
Structure: a GGA-PBE-relaxed structure

The 12 most intense peaks (2θ = 10–80°), sorted by position:
11.09 deg, I 41
13.35 deg, I 100
14.69 deg, I 67
17.71 deg, I 28
22.24 deg, I 56
24.89 deg, I 45
25.13 deg, I 23
26.50 deg, I 67
27.75 deg, I 30
34.53 deg, I 50
40.04 deg, I 26
52.15 deg, I 18

Cell and atoms:
```
data_Ag2AsI5
_symmetry_space_group_name_H-M 'P 1'
_symmetry_Int_Tables_number 1
_cell_length_a 7.3169
_cell_length_b 7.4032
_cell_length_c 8.3726
_cell_angle_alpha 103.42
_cell_angle_beta 95.86
_cell_angle_gamma 110.64
loop_
_symmetry_equiv_pos_as_xyz
'x,y,z'
loop_
_atom_site_label
_atom_site_type_symbol
_atom_site_fract_x
_atom_site_fract_y
_atom_site_fract_z
Ag1 Ag 0.0000 0.0000 0.0000
Ag2 Ag 0.3750 0.8663 0.6112
As1 As 0.4758 0.9516 0.0883
I1 I 0.0866 0.6999 0.7911
I2 I 0.2354 0.7218 0.2732
I3 I 0.4076 0.2816 0.1961
I4 I 0.7144 0.1286 0.8444
I5 I 0.8172 0.0264 0.2954
```

=====

Entry 11:
Theoretical XRD peak list
Compound: BaGa3CuPt
Radiation: Cu Kα
Structure: a GGA-PBE-relaxed structure

The 12 most intense peaks (2θ = 10–80°), sorted by position:
19.59 deg, I 21
26.78 deg, I 31
26.92 deg, I 32
28.82 deg, I 100
30.49 deg, I 20
30.62 deg, I 19
38.33 deg, I 87
38.85 deg, I 20
47.81 deg, I 30
48.56 deg, I 21
48.72 deg, I 31
52.22 deg, I 30

Cell and atoms:
```
data_BaGa3CuPt
_symmetry_space_group_name_H-M 'C m c m'
_symmetry_Int_Tables_number 63
_symmetry_space_group_name_Hall '-C 2c 2'
_cell_length_a 6.6238
_cell_length_b 12.3728
_cell_length_c 6.6591
_cell_angle_alpha 90.00
_cell_angle_beta 90.00
_cell_angle_gamma 90.00
loop_
_atom_site_label
_atom_site_type_symbol
_atom_site_fract_x
_atom_site_fract_y
_atom_site_fract_z
Ba1 Ba 0.0000 0.2481 0.2500
Ga1 Ga 0.0000 0.2090 0.7500
Ga2 Ga 0.2234 0.5000 0.0000
Cu1 Cu 0.0000 0.0240 0.7500
Pt1 Pt 0.0000 0.4012 0.7500
```

=====

Entry 12:
Theoretical XRD peak list
Compound: Tb3H2
Radiation: Cu Kα
Structure: a GGA-PBE-relaxed structure

The 12 most intense peaks (2θ = 10–80°), sorted by position:
28.27 deg, I 24
32.32 deg, I 23
32.65 deg, I 100
43.47 deg, I 15
50.05 deg, I 20
57.85 deg, I 20
58.47 deg, I 3
60.84 deg, I 22
61.04 deg, I 17
68.41 deg, I 4
74.87 deg, I 3
79.96 deg, I 8

Cell and atoms:
```
data_Tb3H2
_symmetry_space_group_name_H-M 'R -3 c'
_symmetry_Int_Tables_number 167
_symmetry_space_group_name_Hall '-R 3 2"c'
_cell_length_a 6.3135
_cell_length_b 6.3135
_cell_length_c 16.6186
_cell_angle_alpha 90.00
_cell_angle_beta 90.00
_cell_angle_gamma 120.00
loop_
_atom_site_label
_atom_site_type_symbol
_atom_site_fract_x
_atom_site_fract_y
_atom_site_fract_z
Tb1 Tb 0.0000 0.3320 0.2500
H1 H 0.0000 0.0000 0.1674
```